# 1
Starting from DFT lattice parameters and positions (PBE), the powder XRD pattern of HfCoSe3 was computed for Cu Kα (weighted mean of Kα1 and Kα2).
Neutral-atom scattering factors, no anomalous dispersion.

Peak list (6 most intense, 2θ = 5–70°, low angle first)
index	Position (°2θ)	Rel. int.
0 2 0	7.78	100
0 4 0	15.60	43
0 3 1	18.55	38
1 1 1	28.40	40
1 3 1	30.54	35
1 4 2	41.29	36

Crystal structure
Unit cell a=3.701 b=22.723 c=6.166 alpha=90.00 beta=90.00 gamma=90.00
Space group Ama2 (No. 40)
Symmetry-distinct sites (fractional):
Hf: 0.250 0.169 0.000 (multiplicity 4)
Co: 0.250 0.370 0.856 (multiplicity 4)
Se: 0.250 0.075 0.244 (multiplicity 4)
Se: 0.250 0.271 0.719 (multiplicity 4)
Se: 0.250 0.373 0.236 (multiplicity 4)

# 2
Starting from DFT lattice parameters and positions (PBE), the powder XRD pattern of HfCoSe was computed for Cu Kα (weighted mean of Kα1 and Kα2).
Neutral-atom scattering factors, no anomalous dispersion.

Peak list (6 most intense, 2θ = 5–70°, low angle first)
index	Position (°2θ)	Rel. int.
0 0 3	8.68	100
1 0 1	27.18	38
1 0 7	34.05	59
1 0 10	40.21	25
0 1 11	42.53	29
1 1 0	47.74	39

Crystal structure
Unit cell a=3.8102 b=3.8102 c=30.5741 alpha=90.00 beta=90.00 gamma=120.00
Space group R-3m (No. 166, hexagonal axes)
Symmetry-distinct sites (fractional):
Hf: 0.0000 0.0000 0.0568 (multiplicity 6)
Co: 0.0000 0.0000 0.3341 (multiplicity 6)
Se: 0.0000 0.0000 0.2260 (multiplicity 6)

# 3
Starting from DFT lattice parameters and positions (PBE), the powder XRD pattern of HfCoSi2 was computed for Cu Kα (weighted mean of Kα1 and Kα2).
Neutral-atom scattering factors, no anomalous dispersion.

Peak list (6 most intense, 2θ = 5–70°, low angle first)
index	Position (°2θ)	Rel. int.
0 1 1	24.37	36
1 1 1	28.45	30
2 1 1	38.35	72
1 1 3	39.43	100
1 0 4	41.00	36
0 2 0	45.81	30

Crystal structure
Unit cell a=6.127 b=3.961 c=9.436 alpha=90.00 beta=90.00 gamma=90.00
Space group Pnma (No. 62)
Symmetry-distinct sites (fractional):
Hf: 0.209 0.250 0.180 (multiplicity 4)
Co: 0.106 0.250 0.886 (multiplicity 4)
Si: 0.029 0.750 0.346 (multiplicity 4)
Si: 0.228 0.750 0.972 (multiplicity 4)

# 4
Starting from DFT lattice parameters and positions (PBE), the powder XRD pattern of Hf2Co3Si4 was computed for Cu Kα (weighted mean of Kα1 and Kα2).
Neutral-atom scattering factors, no anomalous dispersion.

Peak list (6 most intense, 2θ = 5–70°, low angle first)
index	Position (°2θ)	Rel. int.
1 1 1	22.57	52
2 1 1	32.34	42
2 1 3	37.43	85
0 0 6	39.46	61
1 1 5	39.55	100
3 0 2	42.35	45

Crystal structure
Unit cell a=6.739 b=5.195 c=13.682 alpha=90.00 beta=90.00 gamma=90.00
Space group Pbcn (No. 60)
Symmetry-distinct sites (fractional):
Hf: 0.101 0.232 0.146 (multiplicity 8)
Co: 0.000 0.274 0.750 (multiplicity 4)
Co: 0.225 0.006 0.482 (multiplicity 8)
Si: 0.019 0.282 0.569 (multiplicity 8)
Si: 0.247 0.019 0.813 (multiplicity 8)

# 5
Starting from DFT lattice parameters and positions (PBE), the powder XRD pattern of SmHfCo10 was computed for Cu Kα (weighted mean of Kα1 and Kα2).
Neutral-atom scattering factors, no anomalous dispersion.

Peak list (6 most intense, 2θ = 5–70°, low angle first)
index	Position (°2θ)	Rel. int.
1 1 1	31.01	86
0 1 3	37.00	33
0 2 2	43.11	35
1 1 3	43.69	100
1 2 0	43.84	51
2 0 0	45.77	41

Crystal structure
Unit cell a=3.965 b=4.839 c=8.429 alpha=90.00 beta=90.00 gamma=90.00
Space group Pmmm (No. 47)
Symmetry-distinct sites (fractional):
Sm: 0.000 0.000 0.000 (multiplicity 1)
Hf: 0.000 0.500 0.500 (multiplicity 1)
Co: 0.000 0.000 0.345 (multiplicity 2)
Co: 0.000 0.500 0.184 (multiplicity 2)
Co: 0.500 0.000 0.500 (multiplicity 1)
Co: 0.500 0.256 0.259 (multiplicity 4)
Co: 0.500 0.500 0.000 (multiplicity 1)

# 6
Starting from DFT lattice parameters and positions (PBE), the powder XRD pattern of Hf4CoSn was computed for Cu Kα (weighted mean of Kα1 and Kα2).
Neutral-atom scattering factors, no anomalous dispersion.

Peak list (6 most intense, 2θ = 5–70°, low angle first)
index	Position (°2θ)	Rel. int.
1 1 -2	34.32	100
3 1 -1	34.65	80
2 2 1	37.44	99
2 4 -1	38.21	45
1 5 0	38.73	47
1 3 -2	40.32	38

Crystal structure
Unit cell a=8.053 b=12.226 c=5.353 alpha=90.00 beta=110.34 gamma=90.00
Space group C2/c (No. 15)
Symmetry-distinct sites (fractional):
Hf: 0.110 0.177 0.065 (multiplicity 8)
Hf: 0.222 0.419 0.350 (multiplicity 8)
Co: 0.000 0.002 0.250 (multiplicity 4)
Sn: 0.000 0.380 0.750 (multiplicity 4)

# 7
Starting from DFT lattice parameters and positions (PBE), the powder XRD pattern of Hf3CoSn was computed for Cu Kα (weighted mean of Kα1 and Kα2).
Neutral-atom scattering factors, no anomalous dispersion.

Peak list (6 most intense, 2θ = 5–70°, low angle first)
index	Position (°2θ)	Rel. int.
0 2 0	29.05	40
2 0 -3	33.65	33
1 1 2	34.22	100
3 1 0	35.63	54
0 2 2	38.33	81
3 3 0	55.86	26

Crystal structure
Unit cell a=9.215 b=6.148 c=8.098 alpha=90.00 beta=115.91 gamma=90.00
Space group C2/m (No. 12)
Symmetry-distinct sites (fractional):
Hf: 0.026 0.000 0.211 (multiplicity 4)
Hf: 0.192 0.500 0.890 (multiplicity 4)
Hf: 0.197 0.500 0.294 (multiplicity 4)
Co: 0.000 0.299 0.000 (multiplicity 4)
Sn: 0.000 0.272 0.500 (multiplicity 4)

# 8
Starting from DFT lattice parameters and positions (PBE), the powder XRD pattern of Hf3CoSn2 was computed for Cu Kα (weighted mean of Kα1 and Kα2).
Neutral-atom scattering factors, no anomalous dispersion.

Peak list (6 most intense, 2θ = 5–70°, low angle first)
index	Position (°2θ)	Rel. int.
3 1 1	33.38	43
0 1 3	33.66	100
4 0 2	34.90	34
4 1 1	39.28	43
2 1 4	43.40	35
0 2 0	46.05	44

Crystal structure
Unit cell a=11.684 b=3.942 c=10.831 alpha=90.00 beta=90.00 gamma=90.00
Space group Pnma (No. 62)
Symmetry-distinct sites (fractional):
Hf: 0.063 0.250 0.108 (multiplicity 4)
Hf: 0.113 0.750 0.534 (multiplicity 4)
Hf: 0.234 0.750 0.266 (multiplicity 4)
Co: 0.111 0.250 0.355 (multiplicity 4)
Sn: 0.021 0.250 0.712 (multiplicity 4)
Sn: 0.196 0.750 0.975 (multiplicity 4)

# 9
Starting from DFT lattice parameters and positions (PBE), the powder XRD pattern of Hf2TaCo2 was computed for Cu Kα (weighted mean of Kα1 and Kα2).
Neutral-atom scattering factors, no anomalous dispersion.

Peak list (6 most intense, 2θ = 5–70°, low angle first)
index	Position (°2θ)	Rel. int.
0 2 0	33.85	21
3 1 -1	36.20	100
3 1 0	37.17	38
0 2 1	42.83	43
2 0 -2	46.93	22
3 3 -1	62.11	16

Crystal structure
Unit cell a=9.021 b=5.296 c=3.872 alpha=90.00 beta=115.27 gamma=90.00
Space group C2/m (No. 12)
Symmetry-distinct sites (fractional):
Hf: 0.202 0.000 0.201 (multiplicity 4)
Ta: 0.000 0.500 0.000 (multiplicity 2)
Co: 0.000 0.227 0.500 (multiplicity 4)

# 10
Starting from DFT lattice parameters and positions (PBE), the powder XRD pattern of Tb2HfCo was computed for Cu Kα (weighted mean of Kα1 and Kα2).
Neutral-atom scattering factors, no anomalous dispersion.

Peak list (6 most intense, 2θ = 5–70°, low angle first)
index	Position (°2θ)	Rel. int.
0 0 9	26.31	67
1 0 1	31.25	100
0 1 2	31.67	73
0 1 8	39.26	71
1 0 10	43.26	90
1 1 0	55.35	47

Crystal structure
Unit cell a=3.3198 b=3.3198 c=30.4821 alpha=90.00 beta=90.00 gamma=120.00
Space group R-3m (No. 166, hexagonal axes)
Symmetry-distinct sites (fractional):
Tb: 0.0000 0.0000 0.1055 (multiplicity 6)
Hf: 0.0000 0.0000 0.0000 (multiplicity 3)
Co: 0.0000 0.0000 0.5000 (multiplicity 3)

# 11
Starting from DFT lattice parameters and positions (PBE), the powder XRD pattern of Hf5CoTc4 was computed for Cu Kα (weighted mean of Kα1 and Kα2).
Neutral-atom scattering factors, no anomalous dispersion.

Peak list (6 most intense, 2θ = 5–70°, low angle first)
index	Position (°2θ)	Rel. int.
1 0 0	27.43	12
0 0 5	27.62	6
1 1 0	39.19	51
1 0 5	39.32	100
2 0 0	56.62	17
0 0 10	57.04	8

Crystal structure
Unit cell a=3.251 b=3.251 c=16.147 alpha=90.00 beta=90.00 gamma=90.00
Space group P4/mmm (No. 123)
Symmetry-distinct sites (fractional):
Hf: 0.000 0.000 0.000 (multiplicity 1)
Hf: 0.000 0.000 0.203 (multiplicity 2)
Hf: 0.000 0.000 0.403 (multiplicity 2)
Co: 0.500 0.500 0.500 (multiplicity 1)
Tc: 0.500 0.500 0.101 (multiplicity 2)
Tc: 0.500 0.500 0.306 (multiplicity 2)

# 12
Starting from DFT lattice parameters and positions (PBE), the powder XRD pattern of Hf3CoTe was computed for Cu Kα (weighted mean of Kα1 and Kα2).
Neutral-atom scattering factors, no anomalous dispersion.

Peak list (6 most intense, 2θ = 5–70°, low angle first)
index	Position (°2θ)	Rel. int.
1 1 1	31.22	100
2 1 -1	34.24	62
1 0 -3	34.87	45
3 0 0	37.65	44
2 1 -2	37.96	76
0 2 0	49.00	34

Crystal structure
Unit cell a=7.524 b=3.718 c=7.725 alpha=90.00 beta=107.69 gamma=90.00
Space group P2_1/m (No. 11)
Symmetry-distinct sites (fractional):
Hf: 0.042 0.250 0.233 (multiplicity 2)
Hf: 0.303 0.750 0.595 (multiplicity 2)
Hf: 0.315 0.250 0.931 (multiplicity 2)
Co: 0.080 0.250 0.608 (multiplicity 2)
Te: 0.363 0.750 0.232 (multiplicity 2)